No. 1
The following is a simulated X-ray diffraction stick pattern of U2Tl2CrSe6. It was derived from a structure optimized by DFT (PBE), using Cu Ka.

Main lines, by angle (2θ from 10° to 90°):
d = 7.902 Å, I = 20; d = 6.002 Å, I = 19; d = 5.379 Å, I = 26; d = 3.332 Å, I = 21; d = 3.008 Å, I = 53; d = 2.989 Å, I = 100; d = 2.257 Å, I = 36; d = 2.248 Å, I = 19; d = 2.006 Å, I = 33; d = 1.666 Å, I = 28

```
data_U2Tl2CrSe6
_cell_length_a 6.937
_cell_length_b 6.937
_cell_length_c 8.250
_cell_angle_alpha 98.29
_cell_angle_beta 98.29
_cell_angle_gamma 119.81
_symmetry_space_group_name_H-M 'P 1'
_symmetry_Int_Tables_number 1
_symmetry_space_group_name_Hall 'P 1'
loop_
_atom_site_label
_atom_site_type_symbol
_atom_site_fract_x
_atom_site_fract_y
_atom_site_fract_z
_atom_site_occupancy
U1 U 0.168 0.832 0.000 1
U2 U 0.832 0.168 0.000 1
Tl1 Tl 0.330 0.670 0.500 1
Tl2 Tl 0.670 0.330 0.500 1
Cr1 Cr 0.500 0.500 0.000 1
Se1 Se 0.110 0.430 0.801 1
Se2 Se 0.255 0.255 0.192 1
Se3 Se 0.430 0.110 0.801 1
Se4 Se 0.570 0.890 0.199 1
Se5 Se 0.745 0.745 0.808 1
Se6 Se 0.890 0.570 0.199 1
```

---

No. 2
The following is a simulated X-ray diffraction stick pattern of BaTb2PuO8. It was derived from a structure optimized by DFT (PBE), using Cu Ka.

Main lines, by angle (2θ from 10° to 90°):
d = 7.510 Å, I = 13; d = 3.644 Å, I = 100; d = 3.035 Å, I = 99; d = 2.577 Å, I = 28; d = 1.965 Å, I = 55; d = 1.962 Å, I = 17; d = 1.669 Å, I = 20; d = 1.564 Å, I = 10; d = 1.561 Å, I = 10; d = 1.517 Å, I = 12

```
data_BaTb2PuO8
_cell_length_a 5.148
_cell_length_b 7.510
_cell_length_c 5.159
_cell_angle_alpha 90.00
_cell_angle_beta 90.13
_cell_angle_gamma 90.00
_symmetry_space_group_name_H-M 'P 1'
_symmetry_Int_Tables_number 1
_symmetry_space_group_name_Hall 'P 1'
loop_
_atom_site_label
_atom_site_type_symbol
_atom_site_fract_x
_atom_site_fract_y
_atom_site_fract_z
_atom_site_occupancy
Ba1 Ba 0.000 0.000 0.000 1
Tb1 Tb 0.500 0.266 0.500 1
Tb2 Tb 0.500 0.734 0.500 1
Pu1 Pu 0.000 0.500 0.000 1
O1 O 0.186 0.307 0.189 1
O2 O 0.186 0.693 0.189 1
O3 O 0.288 0.500 0.715 1
O4 O 0.353 0.000 0.655 1
O5 O 0.647 0.000 0.345 1
O6 O 0.712 0.500 0.285 1
O7 O 0.814 0.307 0.811 1
O8 O 0.814 0.693 0.811 1
```

---

No. 3
The following is a simulated X-ray diffraction stick pattern of ErNpFe4. It was derived from a structure optimized by DFT (PBE), using Cu Ka.

Main lines, by angle (2θ from 10° to 90°):
d = 4.345 Å, I = 19; d = 3.028 Å, I = 22; d = 2.509 Å, I = 69; d = 2.362 Å, I = 87; d = 2.156 Å, I = 100; d = 2.104 Å, I = 38; d = 1.418 Å, I = 36; d = 1.370 Å, I = 23; d = 1.333 Å, I = 26; d = 1.254 Å, I = 19

```
data_ErNpFe4
_cell_length_a 5.017
_cell_length_b 5.017
_cell_length_c 8.443
_cell_angle_alpha 90.00
_cell_angle_beta 90.00
_cell_angle_gamma 120.00
_symmetry_space_group_name_H-M 'P 1'
_symmetry_Int_Tables_number 1
_symmetry_space_group_name_Hall 'P 1'
loop_
_atom_site_label
_atom_site_type_symbol
_atom_site_fract_x
_atom_site_fract_y
_atom_site_fract_z
_atom_site_occupancy
Er1 Er 0.333 0.667 0.431 1
Er2 Er 0.667 0.333 0.569 1
Np1 Np 0.333 0.667 0.045 1
Np2 Np 0.667 0.333 0.955 1
Fe1 Fe 0.000 0.000 0.000 1
Fe2 Fe 0.000 0.000 0.500 1
Fe3 Fe 0.165 0.330 0.747 1
Fe4 Fe 0.165 0.835 0.747 1
Fe5 Fe 0.330 0.165 0.253 1
Fe6 Fe 0.670 0.835 0.747 1
Fe7 Fe 0.835 0.165 0.253 1
Fe8 Fe 0.835 0.670 0.253 1
```

---

Question: Which formula does entry 2 have?
Answer: BaTb2PuO8